No. 1
Structure and simulated XRD peak list of PaIrPdRh (DFT lattice parameters and positions (GGA-PBE); Cu Kα (weighted mean of Kα1 and Kα2)).
Intensities are scaled so that the largest is 1000.

Main lines, in order of rising 2θ (2θ = 15–90°):
two_theta  Rel. int.
38.1  1000
43.5  172
43.6  171
45.6  150
64.9  211
76.3  133

```
PaIrPdRh
1.0
3.975 0.000 0.000
0.000 4.149 0.000
0.000 0.000 4.158
Pa Ir Pd Rh
1 1 1 1
Cartesian
0.000 0.000 0.000
1.987 0.000 2.079
0.000 2.075 2.079
1.987 2.075 0.000
```

***

No. 2
Structure and simulated XRD peak list of PmPaTeIr (DFT lattice parameters and positions (GGA-PBE); Cu Kα (weighted mean of Kα1 and Kα2)).
Intensities are scaled so that the largest is 1000.

Main lines, in order of rising 2θ (2θ = 15–90°):
two_theta  Rel. int.
26.3  338
31.9  1000
37.3  242
44.3  465
47.1  235
55.6  211

```
PmPaTeIr
1.0
2.045 1.181 7.668
-2.045 1.181 7.668
0.000 -2.361 7.668
Pm Pa Te Ir
1 1 1 1
Cartesian
0.000 0.000 0.000
0.000 0.000 18.501
0.000 0.000 5.370
0.000 0.000 9.460
```

***

No. 3
Structure and simulated XRD peak list of Pr3PaIr3 (DFT lattice parameters and positions (GGA-PBE); Cu Kα (weighted mean of Kα1 and Kα2)).
Intensities are scaled so that the largest is 1000.

Main lines, in order of rising 2θ (2θ = 15–90°):
two_theta  Rel. int.
17.0  411
30.4  695
31.3  1000
43.0  193
44.2  782
53.6  204

```
Pr3PaIr3
1.0
11.469 0.000 0.000
0.000 5.878 0.000
-0.868 0.000 11.452
Pr Pa Ir
12 4 12
Cartesian
0.941 0.000 4.326
0.536 0.000 10.045
1.540 2.939 1.168
3.369 2.939 9.889
3.893 2.939 4.158
3.889 0.000 6.999
6.712 0.000 4.452
6.708 2.939 7.294
7.233 2.939 1.562
9.061 2.939 10.283
10.066 0.000 1.406
9.660 0.000 7.126
1.022 2.939 6.935
4.379 0.000 1.276
6.223 0.000 10.175
9.579 2.939 4.517
0.720 2.939 4.211
0.437 2.939 9.518
1.800 0.000 1.533
3.814 0.000 3.829
3.610 2.939 7.030
3.590 0.000 10.057
7.011 0.000 1.394
6.992 2.939 4.422
6.788 0.000 7.622
8.802 0.000 9.919
10.165 2.939 1.934
9.882 2.939 7.241
```

***

No. 4
Structure and simulated XRD peak list of Pr2ZrPaIr2 (DFT lattice parameters and positions (GGA-PBE); Cu Kα (weighted mean of Kα1 and Kα2)).
Intensities are scaled so that the largest is 1000.

Main lines, in order of rising 2θ (2θ = 15–90°):
two_theta  Rel. int.
32.4  941
37.0  1000
37.3  332
37.5  326
49.7  285
50.1  277

```
Pr2ZrPaIr2
1.0
-3.416 6.722 3.463
3.416 -6.722 3.463
3.416 6.722 -3.463
Pr Zr Pa Ir
4 2 2 4
Cartesian
1.676 2.524 0.000
1.676 -2.524 3.463
1.740 9.246 0.000
1.740 4.198 3.463
0.000 0.000 1.732
0.000 0.000 5.195
3.416 0.000 1.732
0.000 6.722 1.732
5.113 1.235 0.000
1.697 5.486 0.000
1.719 1.235 3.463
-1.697 5.486 3.463
```

***

No. 5
Structure and simulated XRD peak list of Pa4Ir3Pt (DFT lattice parameters and positions (GGA-PBE); Cu Kα (weighted mean of Kα1 and Kα2)).
Intensities are scaled so that the largest is 1000.

Main lines, in order of rising 2θ (2θ = 15–90°):
two_theta  Rel. int.
31.5  1000
31.6  494
43.2  214
45.2  751
54.5  219
57.7  184

```
Pa4Ir3Pt
1.0
0.000 4.191 5.663
3.869 0.000 5.663
3.869 4.191 0.000
Pa Ir Pt
4 3 1
Cartesian
1.934 2.095 0.000
3.869 4.191 2.786
1.934 2.095 5.663
3.869 4.191 8.540
0.000 0.000 0.000
1.934 2.095 2.832
5.803 6.286 8.495
3.869 4.191 5.663
```

***

No. 6
Structure and simulated XRD peak list of PuPaIrSe (DFT lattice parameters and positions (GGA-PBE); Cu Kα (weighted mean of Kα1 and Kα2)).
Intensities are scaled so that the largest is 1000.

Main lines, in order of rising 2θ (2θ = 15–90°):
two_theta  Rel. int.
27.7  414
33.3  1000
38.8  393
46.8  457
48.7  233
69.7  293

```
PuPaIrSe
1.0
1.943 1.122 7.495
-1.943 1.122 7.495
0.000 -2.244 7.495
Pu Pa Ir Se
1 1 1 1
Cartesian
0.000 0.000 0.000
0.000 0.000 4.136
0.000 0.000 13.227
0.000 0.000 9.548
```

***

No. 7
Structure and simulated XRD peak list of Pu2Pa2Si4Ir (DFT lattice parameters and positions (GGA-PBE); Cu Kα (weighted mean of Kα1 and Kα2)).
Intensities are scaled so that the largest is 1000.

Main lines, in order of rising 2θ (2θ = 15–90°):
two_theta  Rel. int.
26.2  1000
28.6  234
34.3  424
35.5  406
37.3  614
44.6  427

```
Pu2Pa2Si4Ir
1.0
-3.407 3.407 4.088
3.407 -3.407 4.088
3.407 3.407 -4.088
Pu Pa Si Ir
2 2 4 1
Cartesian
0.000 0.000 1.411
0.000 0.000 6.766
3.407 0.000 2.044
0.000 3.407 2.044
1.734 1.734 0.000
1.673 -1.673 4.088
-1.673 1.673 4.088
1.673 1.673 4.088
0.000 0.000 4.088
```

***

No. 8
Structure and simulated XRD peak list of PuPaTcIr (DFT lattice parameters and positions (GGA-PBE); Cu Kα (weighted mean of Kα1 and Kα2)).
Intensities are scaled so that the largest is 1000.

Main lines, in order of rising 2θ (2θ = 15–90°):
two_theta  Rel. int.
22.5  32
26.0  62
37.1  1000
53.5  178
66.9  366
79.0  116

```
PuPaTcIr
1.0
0.000 3.427 3.427
3.427 0.000 3.427
3.427 3.427 0.000
Pu Pa Tc Ir
1 1 1 1
Cartesian
0.000 0.000 0.000
3.427 3.427 3.427
5.140 5.140 5.140
1.713 1.713 1.713
```